[1]
Structure and simulated PXRD pattern of U2SnAs2S2 (a crystal structure in Alexandria, relaxed with GGA-PBE; Cu Kα).
Kinematic intensities with the Lorentz-polarization factor, no thermal factor.

Principal peaks in the range 2θ = 10–80°, in order of falling intensity:
2θ = 23.24°, I 100.0; 2θ = 35.88°, I 83.8; 2θ = 49.52°, I 71.9; 2θ = 30.11°, I 34.1; 2θ = 33.00°, I 28.8; 2θ = 74.35°, I 27.7; 2θ = 43.19°, I 20.9; 2θ = 10.86°, I 19.0; 2θ = 57.36°, I 18.8; 2θ = 42.39°, I 16.5

Structural model:
```
7
Lattice="5.0057 0.0000 0.0000 -2.5029 4.3351 0.0000 0.0000 0.0000 8.1433" Properties=species:S:1:pos:R:3 pbc="T T T"
U 0.0000 2.8901 1.5752
U 2.5029 1.4450 6.5681
Sn 0.0000 0.0000 4.0716
As 0.0000 0.0000 1.4093
As 0.0000 0.0000 6.7340
S 0.0000 2.8901 7.0914
S 2.5029 1.4450 1.0519
```


[2]
Structure and simulated PXRD pattern of SrAs2S4 (a crystal structure in Alexandria, relaxed with GGA-PBE; Cu Kα).
Kinematic intensities with the Lorentz-polarization factor, no thermal factor.

Principal peaks in the range 2θ = 10–80°, in order of falling intensity:
2θ = 30.18°, I 100.0; 2θ = 22.61°, I 57.2; 2θ = 20.11°, I 54.0; 2θ = 34.50°, I 49.4; 2θ = 25.59°, I 42.7; 2θ = 22.87°, I 38.6; 2θ = 19.54°, I 38.2; 2θ = 25.25°, I 37.0; 2θ = 46.72°, I 26.9; 2θ = 22.99°, I 25.1

Structural model:
```
14
Lattice="5.8885 -4.7071 0.0000 5.8885 4.7071 0.0000 -5.6879 0.0000 6.9016" Properties=species:S:1:pos:R:3 pbc="T T T"
Sr 3.0445 3.5341 3.4508
Sr 5.8885 -3.5341 0.0000
As -1.1740 2.2629 5.8251
As 2.1412 0.1869 5.0662
As 1.6699 -2.2629 2.3743
As 4.9852 -0.1869 1.6154
S 4.6899 3.2843 0.9124
S 1.2146 2.2453 5.5439
S -1.6459 0.0670 6.3457
S 1.1980 -0.0670 2.8949
S 4.1688 1.0330 4.6214
S 4.0585 -2.2453 2.0930
S 7.0127 -1.0330 1.1705
S 1.8460 -3.2843 4.3633
```


[3]
Structure and simulated PXRD pattern of TbAsS3 (a crystal structure in Alexandria, relaxed with GGA-PBE; Cu Kα).
Kinematic intensities with the Lorentz-polarization factor, no thermal factor.

Principal peaks in the range 2θ = 10–80°, in order of falling intensity:
2θ = 23.74°, I 100.0; 2θ = 26.66°, I 73.4; 2θ = 38.46°, I 56.2; 2θ = 30.00°, I 54.0; 2θ = 47.08°, I 48.4; 2θ = 13.51°, I 42.8; 2θ = 36.00°, I 39.5; 2θ = 45.35°, I 37.9; 2θ = 49.86°, I 36.2; 2θ = 17.78°, I 21.0

Structural model:
```
10
Lattice="3.3435 1.9304 6.5547 -3.3435 1.9304 6.5547 0.0000 -3.8607 6.5547" Properties=species:S:1:pos:R:3 pbc="T T T"
Tb 0.0000 0.0000 3.0611
Tb 0.0000 0.0000 16.6032
As 0.0000 0.0000 7.4203
As 0.0000 0.0000 12.2439
S -1.1876 -1.8084 8.2856
S -2.1599 0.1243 11.3787
S -0.9723 1.9327 8.2856
S 0.9723 -1.9327 11.3787
S 2.1599 -0.1243 8.2856
S 1.1876 1.8084 11.3787
```


[4]
Structure and simulated PXRD pattern of TbZrAsS (a crystal structure in Alexandria, relaxed with GGA-PBE; Cu Kα).
Kinematic intensities with the Lorentz-polarization factor, no thermal factor.

Principal peaks in the range 2θ = 10–80°, in order of falling intensity:
2θ = 38.81°, I 100.0; 2θ = 25.07°, I 76.4; 2θ = 37.11°, I 54.0; 2θ = 53.59°, I 52.4; 2θ = 26.60°, I 32.4; 2θ = 35.48°, I 29.2; 2θ = 22.89°, I 20.4; 2θ = 32.45°, I 19.1; 2θ = 54.78°, I 17.0; 2θ = 70.26°, I 16.9

Structural model:
```
8
Lattice="2.3204 1.3397 10.1198 -2.3204 1.3397 10.1198 0.0000 -2.6794 10.1198" Properties=species:S:1:pos:R:3 pbc="T T T"
Tb 0.0000 0.0000 3.5502
Tb 0.0000 0.0000 26.8090
Zr 0.0000 0.0000 9.0196
Zr 0.0000 0.0000 21.3396
As 0.0000 0.0000 11.7301
As 0.0000 0.0000 18.6291
S 0.0000 0.0000 6.2641
S 0.0000 0.0000 24.0952
```


[5]
Structure and simulated PXRD pattern of TcAsS (a crystal structure in Alexandria, relaxed with GGA-PBE; Cu Kα).
Kinematic intensities with the Lorentz-polarization factor, no thermal factor.

Principal peaks in the range 2θ = 10–80°, in order of falling intensity:
2θ = 15.07°, I 100.0; 2θ = 31.92°, I 41.7; 2θ = 41.28°, I 38.6; 2θ = 40.96°, I 37.8; 2θ = 43.69°, I 28.1; 2θ = 43.99°, I 27.5; 2θ = 30.87°, I 24.8; 2θ = 44.11°, I 19.1; 2θ = 17.04°, I 18.7; 2θ = 44.26°, I 18.5

Structural model:
```
6
Lattice="5.8037 0.0000 0.0000 0.0000 3.3281 0.0000 -2.8637 0.0000 5.8792" Properties=species:S:1:pos:R:3 pbc="T T T"
Tc -1.4310 0.0000 5.8792
Tc 4.3710 0.0000 0.0000
As 0.0376 1.6641 4.5067
As 2.9024 1.6641 1.3725
S 0.0008 0.0000 1.7697
S 2.9392 0.0000 4.1095
```


[6]
Structure and simulated PXRD pattern of Tc2AsWS (a crystal structure in Alexandria, relaxed with GGA-PBE; Cu Kα).
Kinematic intensities with the Lorentz-polarization factor, no thermal factor.

Principal peaks in the range 2θ = 10–80°, in order of falling intensity:
2θ = 34.25°, I 100.0; 2θ = 27.86°, I 75.2; 2θ = 39.66°, I 70.7; 2θ = 57.57°, I 46.8; 2θ = 39.97°, I 34.6; 2θ = 49.16°, I 32.8; 2θ = 68.51°, I 25.9; 2θ = 57.33°, I 23.7; 2θ = 72.17°, I 23.7; 2θ = 68.94°, I 12.7

Structural model:
```
5
Lattice="4.5455 0.0000 0.0000 0.0000 4.5455 0.0000 0.0000 0.0000 4.5117" Properties=species:S:1:pos:R:3 pbc="T T T"
Tc 0.0000 2.2727 0.0000
Tc 2.2727 0.0000 0.0000
As 0.0000 0.0000 0.0000
W 2.2727 2.2727 2.2559
S 0.0000 0.0000 2.2559
```


[7]
Structure and simulated PXRD pattern of Tm6TeAs2S3 (a crystal structure in Alexandria, relaxed with GGA-PBE; Cu Kα).
Kinematic intensities with the Lorentz-polarization factor, no thermal factor.

Principal peaks in the range 2θ = 10–80°, in order of falling intensity:
2θ = 31.65°, I 100.0; 2θ = 45.47°, I 36.0; 2θ = 45.27°, I 34.7; 2θ = 27.36°, I 28.9; 2θ = 75.30°, I 14.8; 2θ = 56.50°, I 12.7; 2θ = 66.11°, I 10.6; 2θ = 75.04°, I 9.4; 2θ = 27.20°, I 9.2; 2θ = 53.80°, I 8.1

Structural model:
```
12
Lattice="8.7031 -1.9930 0.0000 8.7031 1.9930 0.0000 -1.8127 0.0000 7.8143" Properties=species:S:1:pos:R:3 pbc="T T T"
Tm 17.0080 0.0000 1.7130
Tm -1.4144 0.0000 6.1013
Tm 4.8638 0.0000 3.2128
Tm 4.1506 0.0000 7.1604
Tm 11.4430 0.0000 0.6539
Tm 10.7298 0.0000 4.6015
Te 7.7968 0.0000 3.9072
As 1.3915 0.0000 6.4993
As 14.2021 0.0000 1.3150
S 2.2317 0.0000 2.5965
S 8.7031 0.0000 0.0000
S 13.3619 0.0000 5.2178
```


[8]
Structure and simulated PXRD pattern of ThAs2S6 (a crystal structure in Alexandria, relaxed with GGA-PBE; Cu Kα).
Kinematic intensities with the Lorentz-polarization factor, no thermal factor.

Principal peaks in the range 2θ = 10–80°, in order of falling intensity:
2θ = 11.64°, I 100.0; 2θ = 28.89°, I 88.8; 2θ = 15.61°, I 85.9; 2θ = 17.01°, I 60.2; 2θ = 26.34°, I 39.2; 2θ = 46.49°, I 37.7; 2θ = 21.75°, I 30.8; 2θ = 24.74°, I 28.7; 2θ = 41.49°, I 27.7; 2θ = 31.42°, I 27.1

Structural model:
```
9
Lattice="3.3831 1.9532 7.5995 -3.3831 1.9532 7.5995 0.0000 -3.9065 7.5995" Properties=species:S:1:pos:R:3 pbc="T T T"
Th 0.0000 0.0000 0.0000
As 0.0000 0.0000 6.3460
As 0.0000 0.0000 8.8492
S -0.7723 -1.9448 9.4631
S -2.6220 0.0047 13.3290
S -1.2981 1.6412 9.4631
S 1.3069 -2.2731 13.3291
S 2.0704 0.3036 9.4630
S 1.3151 2.2684 13.3290
```